(1)
This entry pairs a crystal structure of Al4Co13Si2Sb2O28 with its computed powder XRD pattern. Radiation: Cu Ka. Structure: a PBE+U-relaxed structure.

Structural model:
```
data_Al4Co13Si2Sb2O28
_chemical_formula_sum 'Al8 Co26 Si4 Sb4 O56'
_cell_length_a 5.516
_cell_length_b 22.559
_cell_length_c 8.943
_cell_angle_alpha 90.00
_cell_angle_beta 100.90
_cell_angle_gamma 90.00
_symmetry_space_group_name_H-M 'C 1 2/m 1'
_symmetry_Int_Tables_number 12
loop_
_symmetry_equiv_pos_as_xyz
'x,y,z'
'-x,-y,-z'
'-x,y,-z'
'x,-y,z'
'x+1/2,y+1/2,z'
'-x+1/2,-y+1/2,-z'
'-x+1/2,y+1/2,-z'
'x+1/2,-y+1/2,z'
loop_
_atom_site_label
_atom_site_fract_x
_atom_site_fract_y
_atom_site_fract_z
_atom_site_occupancy
Al1 0.228 0.215 0.172 1
Co1 0.000 0.071 0.500 1
Co2 0.000 0.213 0.500 1
Co3 0.000 0.500 0.500 1
Co4 0.215 0.356 0.148 1
Co5 0.222 0.070 0.154 1
Si1 0.234 0.500 0.186 1
Sb1 0.000 0.359 0.500 1
O1 0.068 0.500 0.857 1
O2 0.098 0.223 0.863 1
O3 0.151 0.060 0.883 1
O4 0.164 0.351 0.901 1
O5 0.191 0.000 0.625 1
O6 0.195 0.290 0.619 1
O7 0.200 0.424 0.616 1
O8 0.226 0.144 0.621 1
```

The 10 most intense peaks (2θ from 10° to 90°), low angle first:
2theta	d_spacing	Rel. int.	(hkl)
30.54	2.927	100	0 0 3
32.32	2.770	69	1 7 0
32.71	2.738	37	2 0 -1
34.90	2.571	85	1 7 1
35.50	2.529	38	2 0 -2
36.65	2.452	45	1 7 -2
47.31	1.921	37	1 7 3
57.73	1.597	51	3 7 -1
59.54	1.553	32	1 7 -5
66.23	1.411	37	0 14 3

(2)
This entry pairs a crystal structure of Sr2YAlCo2O7 with its computed powder XRD pattern. Radiation: Cu Ka. Structure: a PBE+U-relaxed structure.

Structural model:
```
data_Sr2YAlCo2O7
_chemical_formula_sum 'Sr8 Y4 Al4 Co8 O28'
_cell_length_a 22.129
_cell_length_b 5.726
_cell_length_c 5.543
_cell_angle_alpha 90.00
_cell_angle_beta 90.00
_cell_angle_gamma 90.00
_symmetry_space_group_name_H-M 'I m a 2'
_symmetry_Int_Tables_number 46
loop_
_symmetry_equiv_pos_as_xyz
'x,y,z'
'-x,-y,z'
'-x+1/2,y,z'
'x+1/2,-y,z'
'x+1/2,y+1/2,z+1/2'
'-x+1/2,-y+1/2,z+1/2'
'-x,y+1/2,z+1/2'
'x,-y+1/2,z+1/2'
loop_
_atom_site_label
_atom_site_fract_x
_atom_site_fract_y
_atom_site_fract_z
_atom_site_occupancy
Sr1 0.153 0.027 0.000 1
Y1 0.000 0.000 0.008 1
Al1 0.250 0.578 0.979 1
Co1 0.082 0.505 0.010 1
O1 0.065 0.222 0.238 1
O2 0.069 0.719 0.293 1
O3 0.180 0.058 0.535 1
O4 0.250 0.661 0.663 1
```

The 10 most intense peaks (2θ from 10° to 90°), low angle first:
2theta	d_spacing	Rel. int.	(hkl)
22.32	3.983	9	0 1 1
31.24	2.863	28	0 2 0
32.30	2.772	32	0 0 2
33.10	2.706	100	6 1 1
39.67	2.272	17	8 1 1
45.55	1.991	36	0 2 2
49.42	1.844	9	12 0 0
56.79	1.621	20	6 3 1
58.11	1.587	21	6 1 3
69.47	1.353	10	12 2 2

(3)
This entry pairs a crystal structure of AlCoW2O8 with its computed powder XRD pattern. Radiation: Cu Ka. Structure: a PBE+U-relaxed structure.

Structural model:
```
data_AlCoW2O8
_chemical_formula_sum 'Al2 Co2 W4 O16'
_cell_length_a 5.029
_cell_length_b 5.698
_cell_length_c 10.354
_cell_angle_alpha 90.00
_cell_angle_beta 118.04
_cell_angle_gamma 90.00
_symmetry_space_group_name_H-M 'P 1 2/c 1'
_symmetry_Int_Tables_number 13
loop_
_symmetry_equiv_pos_as_xyz
'x,y,z'
'-x,-y,-z'
'-x,y,-z+1/2'
'x,-y,z+1/2'
loop_
_atom_site_label
_atom_site_fract_x
_atom_site_fract_y
_atom_site_fract_z
_atom_site_occupancy
Al1 0.000 0.155 0.250 1
Co1 0.500 0.145 0.750 1
W1 0.242 0.328 0.998 1
O1 0.182 0.389 0.613 1
O2 0.206 0.141 0.137 1
O3 0.252 0.102 0.871 1
O4 0.308 0.382 0.388 1
```

The 10 most intense peaks (2θ from 10° to 90°), low angle first:
2theta	d_spacing	Rel. int.	(hkl)
19.43	4.569	76	0 0 2
23.60	3.770	81	1 1 -1
24.98	3.565	64	0 1 2
30.54	2.927	100	1 1 1
30.95	2.889	98	1 1 -3
35.71	2.514	34	2 0 -2
36.24	2.479	45	1 2 -1
41.60	2.171	30	1 2 -3
52.16	1.753	36	0 3 2
64.54	1.444	37	3 2 -3

(4)
This entry pairs a crystal structure of AlCoW2O8 with its computed powder XRD pattern. Radiation: Cu Ka. Structure: a PBE+U-relaxed structure.

Structural model:
```
data_AlCoW2O8
_chemical_formula_sum 'Al2 Co2 W4 O16'
_cell_length_a 5.091
_cell_length_b 5.628
_cell_length_c 9.172
_cell_angle_alpha 89.86
_cell_angle_beta 89.19
_cell_angle_gamma 88.94
_symmetry_space_group_name_H-M 'P -1'
_symmetry_Int_Tables_number 2
loop_
_symmetry_equiv_pos_as_xyz
'x,y,z'
'-x,-y,-z'
loop_
_atom_site_label
_atom_site_fract_x
_atom_site_fract_y
_atom_site_fract_z
_atom_site_occupancy
Al1 0.249 0.153 0.239 1
Co1 0.248 0.146 0.759 1
W1 0.245 0.672 0.500 1
W2 0.249 0.664 0.998 1
O1 0.068 0.383 0.611 1
O2 0.070 0.860 0.637 1
O3 0.082 0.381 0.120 1
O4 0.114 0.892 0.133 1
O5 0.381 0.896 0.374 1
O6 0.411 0.385 0.889 1
O7 0.424 0.384 0.390 1
O8 0.431 0.869 0.855 1
```

The 10 most intense peaks (2θ from 10° to 90°), low angle first:
2theta	d_spacing	Rel. int.	(hkl)
19.36	4.586	78	0 0 2
23.35	3.810	40	1 1 0
23.79	3.741	40	1 -1 0
25.05	3.555	70	0 1 2
30.32	2.948	50	1 1 2
30.70	2.912	100	1 -1 2
30.99	2.886	50	-1 1 2
35.27	2.545	36	2 0 0
52.72	1.736	34	0 3 2
54.22	1.692	31	2 0 -4

(5)
This entry pairs a crystal structure of AlCoW2O8 with its computed powder XRD pattern. Radiation: Cu Ka. Structure: a PBE+U-relaxed structure.

Structural model:
```
data_AlCoW2O8
_chemical_formula_sum 'Al1 Co1 W2 O8'
_cell_length_a 5.060
_cell_length_b 5.472
_cell_length_c 5.743
_cell_angle_alpha 73.54
_cell_angle_beta 89.85
_cell_angle_gamma 69.13
_symmetry_space_group_name_H-M 'P 1'
_symmetry_Int_Tables_number 1
loop_
_symmetry_equiv_pos_as_xyz
'x,y,z'
loop_
_atom_site_label
_atom_site_fract_x
_atom_site_fract_y
_atom_site_fract_z
_atom_site_occupancy
Al1 0.000 0.000 0.000 1
Co1 0.558 0.984 0.457 1
W1 0.306 0.457 0.751 1
W2 0.820 0.448 0.387 1
O1 0.213 0.245 0.520 1
O2 0.238 0.178 0.014 1
O3 0.266 0.736 0.880 1
O4 0.428 0.658 0.414 1
O5 0.721 0.202 0.735 1
O6 0.785 0.187 0.241 1
O7 0.863 0.718 0.139 1
O8 0.881 0.642 0.624 1
```

The 10 most intense peaks (2θ from 10° to 90°), low angle first:
2theta	d_spacing	Rel. int.	(hkl)
16.19	5.474	54	0 0 1
18.20	4.874	100	0 1 0
23.56	3.776	49	1 0 -1
24.25	3.670	44	1 1 1
26.32	3.387	91	1 0 1
28.58	3.123	74	1 1 -1
31.23	2.864	55	-1 1 1
34.21	2.621	41	1 2 1
35.75	2.512	33	2 1 0
38.31	2.350	25	2 0 0